Computed powder diffractogram
Compound: RbCd4Hg2
Radiation: Cu Kα (λ = 1.5418 Å)
Structure: DFT lattice parameters and positions (GGA-PBE)
Peak positions follow from Bragg's law for the DFT cell and can differ from measured ones.

Cell and atoms:
Cell: 4.7723 18.0577 4.6073 Å, 90.00 90.00 90.00°
Sites, in units of the cell vectors:
Rb (0.0000, 0.0000, 0.0000)
Rb (0.5000, 0.5000, 0.0000)
Cd (0.0000, 0.1873, 0.5000)
Cd (0.0000, 0.3066, 0.0000)
Cd (0.0000, 0.6934, 0.0000)
Cd (0.0000, 0.8127, 0.5000)
Cd (0.5000, 0.1934, 0.0000)
Cd (0.5000, 0.3127, 0.5000)
Cd (0.5000, 0.6873, 0.5000)
Cd (0.5000, 0.8066, 0.0000)
Hg (0.0000, 0.4166, 0.5000)
Hg (0.0000, 0.5834, 0.5000)
Hg (0.5000, 0.0834, 0.5000)
Hg (0.5000, 0.9166, 0.5000)

Principal peaks in the range 2θ = 5–70°, low angle first:
2θ (°)	Rel. int.
19.2	56
27.4	31
27.7	23
30.8	83
31.1	29
35.6	22
36.8	100
37.7	43
39.1	39
55.4	28

***

Computed powder diffractogram
Compound: CuPIrAu2
Radiation: Cu Kα (λ = 1.5418 Å)
Structure: DFT lattice parameters and positions (GGA-PBE)
Peak positions follow from Bragg's law for the DFT cell and can differ from measured ones.

Cell and atoms:
Cell: 5.1983 5.1983 4.2851 Å, 90.00 90.00 90.00°
Sites, in units of the cell vectors:
Cu (0.0000, 0.0000, 0.0000)
P (0.5000, 0.5000, 0.0000)
Ir (0.5000, 0.5000, 0.5000)
Au (0.0000, 0.5000, 0.5000)
Au (0.5000, 0.0000, 0.5000)

Principal peaks in the range 2θ = 5–70°, low angle first:
2θ (°)	Rel. int.
20.7	86
27.0	41
32.1	49
34.5	100
40.6	65
42.2	29
49.6	36
54.3	29
55.6	51
67.1	29

***

Computed powder diffractogram
Compound: Y2CuIr2
Radiation: Cu Kα (λ = 1.5418 Å)
Structure: DFT lattice parameters and positions (GGA-PBE)
Peak positions follow from Bragg's law for the DFT cell and can differ from measured ones.

Cell and atoms:
Cell: 4.2214 5.7192 8.2581 Å, 90.00 90.00 90.00°
Sites, in units of the cell vectors:
Y (0.0000, 0.0000, 0.2059)
Y (0.0000, 0.0000, 0.7941)
Y (0.5000, 0.5000, 0.2941)
Y (0.5000, 0.5000, 0.7059)
Cu (0.0000, 0.5000, 0.0000)
Cu (0.5000, 0.0000, 0.5000)
Ir (0.0000, 0.2718, 0.5000)
Ir (0.0000, 0.7282, 0.5000)
Ir (0.5000, 0.2282, 0.0000)
Ir (0.5000, 0.7718, 0.0000)

Principal peaks in the range 2θ = 5–70°, low angle first:
2θ (°)	Rel. int.
21.5	43
23.7	53
34.2	49
38.3	47
39.1	44
39.6	100
42.8	34
43.9	22
58.8	28
69.4	30

***

Computed powder diffractogram
Compound: Ac3GePtCl
Radiation: Cu Kα (λ = 1.5418 Å)
Structure: DFT lattice parameters and positions (GGA-PBE)
Peak positions follow from Bragg's law for the DFT cell and can differ from measured ones.

Cell and atoms:
Cell: 8.9070 4.4803 10.0864 Å, 90.00 105.43 90.00°
Sites, in units of the cell vectors:
Ac (0.0694, 0.2500, 0.3409)
Ac (0.2312, 0.2500, 0.0079)
Ac (0.4003, 0.7500, 0.6267)
Ac (0.5997, 0.2500, 0.3733)
Ac (0.7688, 0.7500, 0.9921)
Ac (0.9306, 0.7500, 0.6591)
Ge (0.3172, 0.7500, 0.2756)
Ge (0.6828, 0.2500, 0.7244)
Pt (0.1645, 0.2500, 0.6545)
Pt (0.8355, 0.7500, 0.3455)
Cl (0.3962, 0.7500, 0.9139)
Cl (0.6038, 0.2500, 0.0861)

Principal peaks in the range 2θ = 5–70°, low angle first:
2θ (°)	Rel. int.
9.1	27
27.5	78
28.5	65
28.8	100
33.5	37
36.0	34
37.3	30
40.3	40
40.6	32
49.5	32

***

Computed powder diffractogram
Compound: TaTiNb4
Radiation: Cu Kα (λ = 1.5418 Å)
Structure: DFT lattice parameters and positions (GGA-PBE)
Peak positions follow from Bragg's law for the DFT cell and can differ from measured ones.

Cell and atoms:
Cell: 3.3051 5.4142 6.6230 Å, 107.23 90.50 106.41°
Sites, in units of the cell vectors:
Ta (0.0000, 0.0000, 0.0000)
Ti (0.0000, 0.0000, 0.5000)
Nb (0.3318, 0.6609, 0.6658)
Nb (0.3335, 0.6633, 0.1660)
Nb (0.6665, 0.3367, 0.8340)
Nb (0.6682, 0.3391, 0.3342)

Principal peaks in the range 2θ = 5–70°, low angle first:
2θ (°)	Rel. int.
14.1	26
38.2	52
38.3	51
38.4	51
38.7	100
39.1	49
55.5	17
55.6	17
69.3	17
69.4	26

***

Computed powder diffractogram
Compound: In2SnBiAu4
Radiation: Cu Kα (λ = 1.5418 Å)
Structure: DFT lattice parameters and positions (GGA-PBE)
Peak positions follow from Bragg's law for the DFT cell and can differ from measured ones.

Cell and atoms:
Cell: 6.8062 5.8828 7.3491 Å, 60.72 48.93 70.35°
Sites, in units of the cell vectors:
In (0.0000, 0.0000, 0.5000)
In (0.5000, 0.5000, 0.0000)
Sn (0.2439, 0.2439, 0.7561)
Bi (0.7450, 0.7450, 0.2550)
Au (0.0066, 0.4932, 0.5068)
Au (0.2449, 0.7446, 0.7551)
Au (0.4932, 0.0066, 0.9934)
Au (0.7446, 0.2449, 0.2554)

Principal peaks in the range 2θ = 5–70°, low angle first:
2θ (°)	Rel. int.
24.8	3
28.9	2
31.2	100
39.2	18
44.7	50
49.7	9
50.9	17
59.9	11
65.1	12
66.1	8